[1]
The following is a simulated powder X-ray diffraction pattern of Ho4BClO7. It was derived from a cell relaxed with GGA-PBE, using a wavelength of 1.5418 Å.

Most intense lines, 10 to 90 degrees two-theta, by angle:
12.0°, intensity 28
24.8°, intensity 39
25.3°, intensity 41
30.3°, intensity 62
30.9°, intensity 100
31.5°, intensity 25
34.0°, intensity 60
45.5°, intensity 23
47.8°, intensity 27
52.1°, intensity 34

Crystal structure
Lattice parameters (Å, degrees): 8.5135 7.9803 12.1628 90.00 120.09 90.00
Element x y z (fractional)
Ho: 0.0709 0.1385 0.4197
Ho: 0.0709 0.3615 0.9197
Ho: 0.0764 0.6175 0.4093
Ho: 0.0764 0.8825 0.9093
Ho: 0.2978 0.1256 0.7789
Ho: 0.2978 0.3744 0.2789
Ho: 0.3183 0.6145 0.7803
Ho: 0.3183 0.8855 0.2803
Ho: 0.6817 0.1145 0.7197
Ho: 0.6817 0.3855 0.2197
Ho: 0.7022 0.6256 0.7211
Ho: 0.7022 0.8744 0.2211
Ho: 0.9236 0.1175 0.0907
Ho: 0.9236 0.3825 0.5907
Ho: 0.9291 0.6385 0.0803
Ho: 0.9291 0.8615 0.5803
B: 0.3693 0.1304 0.0863
B: 0.3693 0.3696 0.5863
B: 0.6307 0.6304 0.4137
B: 0.6307 0.8696 0.9137
Cl: 0.3818 0.6483 0.0323
Cl: 0.3818 0.8517 0.5323
Cl: 0.6182 0.1483 0.4677
Cl: 0.6182 0.3517 0.9677
O: 0.0395 0.1224 0.5970
O: 0.0395 0.3776 0.0970
O: 0.0727 0.6218 0.5926
O: 0.0727 0.8782 0.0926
O: 0.1793 0.1173 0.2822
O: 0.1793 0.3827 0.7822
O: 0.1913 0.6371 0.2743
O: 0.1913 0.8629 0.7743
O: 0.2753 0.1111 0.9562
O: 0.2753 0.3889 0.4562
O: 0.3857 0.2104 0.6344
O: 0.3857 0.2896 0.1344
O: 0.4347 0.5057 0.6651
O: 0.4347 0.9943 0.1651
O: 0.5653 0.0057 0.8349
O: 0.5653 0.4943 0.3349
O: 0.6143 0.7104 0.8656
O: 0.6143 0.7896 0.3656
O: 0.7247 0.6111 0.5438
O: 0.7247 0.8889 0.0438
O: 0.8087 0.1371 0.2257
O: 0.8087 0.3629 0.7257
O: 0.8207 0.6173 0.2178
O: 0.8207 0.8827 0.7178
O: 0.9273 0.1218 0.9074
O: 0.9273 0.3782 0.4074
O: 0.9605 0.6224 0.9030
O: 0.9605 0.8776 0.4030

[2]
The following is a simulated powder X-ray diffraction pattern of Co4B3. It was derived from a cell relaxed with GGA-PBE, using a wavelength of 1.5418 Å.

Most intense lines, 10 to 90 degrees two-theta, by angle:
31.3°, intensity 33
33.8°, intensity 53
38.7°, intensity 27
40.6°, intensity 39
41.2°, intensity 84
44.1°, intensity 100
47.2°, intensity 47
47.4°, intensity 69
48.4°, intensity 39
51.6°, intensity 26

Crystal structure
Lattice parameters (Å, degrees): 3.9910 3.9910 7.6590 98.64 98.64 75.66
Element x y z (fractional)
Co: 0.2017 0.7129 0.5132
Co: 0.2269 0.3648 0.2110
Co: 0.2871 0.7983 0.9868
Co: 0.3648 0.2269 0.7110
Co: 0.6352 0.7731 0.2890
Co: 0.7129 0.2017 0.0132
Co: 0.7731 0.6352 0.7890
Co: 0.7983 0.2871 0.4868
B: 0.0766 0.9234 0.2500
B: 0.1585 0.3128 0.9403
B: 0.3128 0.1585 0.4403
B: 0.6872 0.8415 0.5597
B: 0.8415 0.6872 0.0597
B: 0.9234 0.0766 0.7500

[3]
The following is a simulated powder X-ray diffraction pattern of NdGdCu2Bi4. It was derived from a cell relaxed with GGA-PBE, using a wavelength of 1.5418 Å.

Most intense lines, 10 to 90 degrees two-theta, by angle:
26.7°, intensity 16
27.2°, intensity 22
29.2°, intensity 34
33.2°, intensity 100
39.5°, intensity 47
48.6°, intensity 19
50.5°, intensity 12
57.2°, intensity 16
66.0°, intensity 11
67.7°, intensity 26

Crystal structure
Lattice parameters (Å, degrees): 4.5587 4.5587 9.8393 90.00 90.00 90.00
Element x y z (fractional)
Nd: 0.0000 0.0000 0.0000
Gd: 0.5000 0.5000 0.4725
Cu: 0.0000 0.5000 0.2415
Cu: 0.5000 0.0000 0.2415
Bi: 0.0000 0.0000 0.4034
Bi: 0.0000 0.5000 0.7334
Bi: 0.5000 0.0000 0.7334
Bi: 0.5000 0.5000 0.0781

[4]
The following is a simulated powder X-ray diffraction pattern of CoH9C3N6. It was derived from a cell relaxed with GGA-PBE, using a wavelength of 1.5418 Å.

Most intense lines, 10 to 90 degrees two-theta, by angle:
16.6°, intensity 100
19.3°, intensity 56
25.6°, intensity 14
30.6°, intensity 73
39.0°, intensity 9
42.8°, intensity 19
44.9°, intensity 13
46.0°, intensity 10
49.5°, intensity 14
70.9°, intensity 7

Crystal structure
Lattice parameters (Å, degrees): 7.1098 7.1098 7.1098 97.50 97.50 97.50
Element x y z (fractional)
Co: 0.0000 0.0000 0.0000
Co: 0.5000 0.5000 0.5000
H: 0.1537 0.4319 0.3352
H: 0.1957 0.6534 0.4492
H: 0.2400 0.2705 0.6020
H: 0.2705 0.6020 0.2400
H: 0.3352 0.1537 0.4319
H: 0.3466 0.5508 0.8043
H: 0.3980 0.7600 0.7295
H: 0.4319 0.3352 0.1537
H: 0.4492 0.1957 0.6534
H: 0.5508 0.8043 0.3466
H: 0.5681 0.6648 0.8463
H: 0.6020 0.2400 0.2705
H: 0.6534 0.4492 0.1957
H: 0.6648 0.8463 0.5681
H: 0.7295 0.3980 0.7600
H: 0.7600 0.7295 0.3980
H: 0.8043 0.3466 0.5508
H: 0.8463 0.5681 0.6648
C: 0.0502 0.8789 0.7684
C: 0.1211 0.2316 0.9498
C: 0.2316 0.9498 0.1211
C: 0.7684 0.0502 0.8789
C: 0.8789 0.7684 0.0502
C: 0.9498 0.1211 0.2316
N: 0.0773 0.7991 0.6212
N: 0.2009 0.3788 0.9227
N: 0.2562 0.5522 0.3672
N: 0.3672 0.2562 0.5522
N: 0.3788 0.9227 0.2009
N: 0.4478 0.6328 0.7438
N: 0.5522 0.3672 0.2562
N: 0.6212 0.0773 0.7991
N: 0.6328 0.7438 0.4478
N: 0.7438 0.4478 0.6328
N: 0.7991 0.6212 0.0773
N: 0.9227 0.2009 0.3788

[5]
The following is a simulated powder X-ray diffraction pattern of Tl2PtBr2Cl2. It was derived from a cell relaxed with GGA-PBE, using a wavelength of 1.5418 Å.

Most intense lines, 10 to 90 degrees two-theta, by angle:
12.0°, intensity 45
17.0°, intensity 17
23.8°, intensity 21
24.1°, intensity 22
26.8°, intensity 100
31.9°, intensity 35
34.4°, intensity 49
41.7°, intensity 15
44.1°, intensity 50
55.2°, intensity 25

Crystal structure
Lattice parameters (Å, degrees): 4.3290 7.3804 7.3607 90.00 90.00 90.00
Element x y z (fractional)
Tl: 0.0000 0.0000 0.0000
Tl: 0.0000 0.5000 0.4703
Pt: 0.5000 0.0000 0.4831
Br: 0.5000 0.2350 0.7182
Br: 0.5000 0.7650 0.7182
Cl: 0.5000 0.2234 0.2591
Cl: 0.5000 0.7766 0.2591

[6]
The following is a simulated powder X-ray diffraction pattern of TbBe12. It was derived from a cell relaxed with GGA-PBE, using a wavelength of 1.5418 Å.

Most intense lines, 10 to 90 degrees two-theta, by angle:
16.2°, intensity 100
23.1°, intensity 45
24.1°, intensity 88
32.8°, intensity 22
33.6°, intensity 87
36.8°, intensity 34
41.1°, intensity 29
47.7°, intensity 42
49.4°, intensity 21
57.9°, intensity 18

Crystal structure
Lattice parameters (Å, degrees): 5.8475 5.8475 5.8475 97.43 97.43 137.86
Element x y z (fractional)
Tb: 0.0000 0.0000 0.0000
Be: 0.0000 0.0000 0.5000
Be: 0.0000 0.3585 0.3585
Be: 0.0000 0.5000 0.0000
Be: 0.0000 0.6415 0.6415
Be: 0.2638 0.5000 0.7638
Be: 0.3585 0.0000 0.3585
Be: 0.5000 0.0000 0.0000
Be: 0.5000 0.2638 0.7638
Be: 0.5000 0.5000 0.5000
Be: 0.5000 0.7362 0.2362
Be: 0.6415 0.0000 0.6415
Be: 0.7362 0.5000 0.2362